Computed powder XRD pattern of Si for Cu Kα, 1.54184 Å, from DFT lattice parameters and positions (PBE).
No peak broadening, texture or thermal motion is included.

Structural model:
Unit cell a=10.8171 b=10.8171 c=10.8171 alpha=109.47 beta=109.47 gamma=109.47
Fractional positions:
Si1 0.0000 0.0000 0.0000
Si2 0.0000 0.0000 0.2174
Si3 0.0000 0.2174 0.0000
Si4 0.0000 0.2232 0.3593
Si5 0.0000 0.3593 0.2232
Si6 0.1326 0.3918 0.7866
Si7 0.1326 0.7866 0.3918
Si8 0.1361 0.7768 0.7768
Si9 0.2134 0.3460 0.6052
Si10 0.2134 0.6052 0.3460
Si11 0.2174 0.0000 0.0000
Si12 0.2232 0.0000 0.3593
Si13 0.2232 0.3593 0.0000
Si14 0.2592 0.6540 0.8674
Si15 0.2592 0.8674 0.6540
Si16 0.3460 0.2134 0.6052
Si17 0.3460 0.6052 0.2134
Si18 0.3593 0.0000 0.2232
Si19 0.3593 0.2232 0.0000
Si20 0.3918 0.1326 0.7866
Si21 0.3918 0.7866 0.1326
Si22 0.3948 0.6082 0.7408
Si23 0.3948 0.7408 0.6082
Si24 0.6052 0.2134 0.3460
Si25 0.6052 0.3460 0.2134
Si26 0.6082 0.3948 0.7408
Si27 0.6082 0.7408 0.3948
Si28 0.6407 0.6407 0.8639
Si29 0.6407 0.8639 0.6407
Si30 0.6540 0.2592 0.8674
Si31 0.6540 0.8674 0.2592
Si32 0.7408 0.3948 0.6082
Si33 0.7408 0.6082 0.3948
Si34 0.7768 0.1361 0.7768
Si35 0.7768 0.7768 0.1361
Si36 0.7826 0.7826 0.7826
Si37 0.7866 0.1326 0.3918
Si38 0.7866 0.3918 0.1326
Si39 0.8639 0.6407 0.6407
Si40 0.8674 0.2592 0.6540
Si41 0.8674 0.6540 0.2592

Most intense lines, 2θ = 10–80°, by angle:
two_theta	d [Å]	Rel. int.
17.39	5.099	78.0
20.11	4.416	98.1
30.36	2.944	76.8
35.20	2.550	46.7
36.69	2.450	47.7
42.19	2.142	25.1
50.63	1.803	28.3
51.75	1.766	33.8
53.94	1.700	100.0
75.32	1.262	28.1

Computed powder XRD pattern of BeCl2 for Cu Kα, 1.54184 Å, from DFT lattice parameters and positions (PBE).
No peak broadening, texture or thermal motion is included.

Structural model:
Unit cell a=11.5232 b=11.5232 c=8.4037 alpha=90.00 beta=90.00 gamma=120.00
Fractional positions:
Be1 0.0000 0.4116 0.3333
Be2 0.2625 0.7050 0.4748
Be3 0.2950 0.5575 0.1414
Be4 0.4116 0.0000 0.6667
Be5 0.4425 0.7375 0.8081
Be6 0.5575 0.2950 0.8586
Be7 0.5884 0.5884 0.0000
Be8 0.7050 0.2625 0.5252
Be9 0.7375 0.4425 0.1919
Cl1 0.0797 0.5425 0.5190
Cl2 0.1425 0.3813 0.2307
Cl3 0.2388 0.8575 0.5641
Cl4 0.2761 0.5761 0.9037
Cl5 0.3000 0.7239 0.2370
Cl6 0.3813 0.1425 0.7693
Cl7 0.4239 0.7000 0.5704
Cl8 0.4575 0.5372 0.1857
Cl9 0.4628 0.9203 0.8523
Cl10 0.5372 0.4575 0.8143
Cl11 0.5425 0.0797 0.4810
Cl12 0.5761 0.2761 0.0963
Cl13 0.6187 0.7612 0.8974
Cl14 0.7000 0.4239 0.4296
Cl15 0.7239 0.3000 0.7630
Cl16 0.7612 0.6187 0.1026
Cl17 0.8575 0.2388 0.4359
Cl18 0.9203 0.4628 0.1477

Most intense lines, 2θ = 10–80°, by angle:
two_theta	d [Å]	Rel. int.
13.78	6.428	100.0
15.38	5.762	25.8
25.89	3.441	46.6
31.04	2.881	13.3
31.89	2.806	57.1
32.87	2.725	48.4
33.22	2.697	30.1
34.11	2.629	38.3
38.97	2.311	17.9
45.11	2.010	11.2

Computed powder XRD pattern of Rb3InO3 for Cu Kα, 1.54184 Å, from DFT lattice parameters and positions (PBE).
No peak broadening, texture or thermal motion is included.

Structural model:
Unit cell a=7.1877 b=7.1877 c=7.0973 alpha=95.79 beta=95.79 gamma=114.86
Fractional positions:
Rb1 0.1942 0.8058 0.0000
Rb2 0.2600 0.7400 0.5000
Rb3 0.3695 0.3695 0.1492
Rb4 0.6305 0.6305 0.8508
Rb5 0.7400 0.2600 0.5000
Rb6 0.8058 0.1942 0.0000
In1 0.1755 0.1755 0.6477
In2 0.8245 0.8245 0.3523
O1 0.1002 0.1002 0.3401
O2 0.1587 0.4415 0.7704
O3 0.4415 0.1587 0.7704
O4 0.5585 0.8413 0.2296
O5 0.8413 0.5585 0.2296
O6 0.8998 0.8998 0.6599

Most intense lines, 2θ = 10–80°, by angle:
two_theta	d [Å]	Rel. int.
17.20	5.156	31.4
27.08	3.293	80.2
27.71	3.219	64.1
29.11	3.067	34.9
29.53	3.025	100.0
31.40	2.849	23.3
32.43	2.761	33.0
36.15	2.485	36.9
37.64	2.390	31.5
54.81	1.675	22.1

Computed powder XRD pattern of Li2NbP4O13 for Cu Kα, 1.54184 Å, from DFT lattice parameters and positions (PBE).
No peak broadening, texture or thermal motion is included.

Structural model:
Unit cell a=5.2412 b=8.0871 c=13.3659 alpha=77.54 beta=84.73 gamma=79.76
Fractional positions:
Li1 0.0696 0.3199 0.0130
Li2 0.3954 0.3337 0.4942
Li3 0.6046 0.6663 0.5058
Li4 0.9304 0.6801 0.9870
Nb1 0.4470 0.0511 0.2598
Nb2 0.5530 0.9489 0.7402
P1 0.0144 0.9001 0.1445
P2 0.1211 0.7944 0.6319
P3 0.3191 0.6562 0.3037
P4 0.3424 0.5710 0.8232
P5 0.6576 0.4290 0.1768
P6 0.6809 0.3438 0.6963
P7 0.8789 0.2056 0.3681
P8 0.9856 0.0999 0.8555
O1 0.0598 0.7509 0.2503
O2 0.0839 0.8170 0.0546
O3 0.1363 0.6480 0.7383
O4 0.1703 0.0408 0.1560
O5 0.1759 0.1365 0.3666
O6 0.1957 0.5207 0.9234
O7 0.2326 0.7127 0.5446
O8 0.2642 0.9381 0.6477
O9 0.2651 0.5082 0.3850
O10 0.2791 0.0312 0.8409
O11 0.4522 0.7901 0.3361
O12 0.4664 0.3052 0.1813
O13 0.4956 0.3989 0.7916
O14 0.5044 0.6011 0.2084
O15 0.5336 0.6948 0.8187
O16 0.5478 0.2099 0.6639
O17 0.7209 0.9688 0.1591
O18 0.7349 0.4918 0.6150
O19 0.7358 0.0619 0.3523
O20 0.7674 0.2873 0.4554
O21 0.8043 0.4793 0.0766
O22 0.8241 0.8635 0.6334
O23 0.8297 0.9592 0.8440
O24 0.8637 0.3520 0.2617
O25 0.9161 0.1830 0.9454
O26 0.9402 0.2491 0.7497

Most intense lines, 2θ = 10–80°, by angle:
two_theta	d [Å]	Rel. int.
11.36	7.792	23.1
13.59	6.515	100.0
19.46	4.562	15.7
21.39	4.154	23.7
22.82	3.897	12.0
25.37	3.511	30.3
26.35	3.383	16.2
26.99	3.304	26.5
29.00	3.079	16.2
29.38	3.040	9.9

Computed powder XRD pattern of Pr3GaO6 for Cu Kα, 1.54184 Å, from DFT lattice parameters and positions (PBE).
No peak broadening, texture or thermal motion is included.

Structural model:
Unit cell a=7.5036 b=7.5036 c=5.6728 alpha=90.00 beta=90.00 gamma=102.74
Fractional positions:
Pr1 0.1036 0.8964 0.5000
Pr2 0.2010 0.4135 0.4560
Pr3 0.4135 0.2010 0.9560
Pr4 0.5865 0.7990 0.4560
Pr5 0.7990 0.5865 0.9560
Pr6 0.8964 0.1036 0.0000
Ga1 0.3068 0.6932 0.9207
Ga2 0.6932 0.3068 0.4207
O1 0.0850 0.6083 0.7537
O2 0.1459 0.1735 0.7265
O3 0.1735 0.1459 0.2265
O4 0.2847 0.7153 0.2463
O5 0.3917 0.9150 0.7537
O6 0.4560 0.5440 0.7903
O7 0.5440 0.4560 0.2903
O8 0.6083 0.0850 0.2537
O9 0.7153 0.2847 0.7463
O10 0.8265 0.8541 0.7265
O11 0.8541 0.8265 0.2265
O12 0.9150 0.3917 0.2537

Most intense lines, 2θ = 10–80°, by angle:
two_theta	d [Å]	Rel. int.
29.04	3.075	100.0
29.34	3.044	40.0
29.60	3.018	16.0
31.54	2.836	19.7
43.80	2.067	22.6
44.45	2.038	18.5
48.55	1.875	20.7
54.63	1.680	12.9
56.86	1.619	16.4
59.06	1.564	13.3

Computed powder XRD pattern of CoMo for Cu Kα, 1.54184 Å, from DFT lattice parameters and positions (PBE).
No peak broadening, texture or thermal motion is included.

Structural model:
Unit cell a=2.9997 b=2.9997 c=2.9997 alpha=90.00 beta=90.00 gamma=90.00
Fractional positions:
Co1 0.0000 0.0000 0.0000
Mo1 0.5000 0.5000 0.5000

Most intense lines, 2θ = 10–80°, by angle:
two_theta	d [Å]	Rel. int.
29.78	3.000	6.8
42.62	2.121	100.0
52.86	1.732	1.8
61.86	1.500	15.6
70.15	1.342	2.6
78.03	1.225	31.4